(1)
Calculated powder diffractogram of CsTiZnOF5 for copper Kα, from the GGA-PBE geometry in the Materials Project.
Intensities are scaled so that the largest is 100.

Atomic structure:
Cell lengths 7.4933, 7.4933, 7.4933 Å; angles 121.69, 120.35, 88.25 degrees
Sites, in units of the cell vectors:
Cs: 0.3738 0.1238 0.2500
Cs: 0.6262 0.8762 0.7500
Ti: 0.0000 0.0000 0.5000
Ti: 0.0000 0.5000 0.0000
Zn: 0.0000 0.5000 0.5000
Zn: 0.5000 0.5000 0.0000
O: 0.0398 0.7898 0.2500
O: 0.9602 0.2102 0.7500
F: 0.0632 0.4164 0.2292
F: 0.0632 0.8341 0.6468
F: 0.3127 0.1659 0.7292
F: 0.3127 0.5836 0.1468
F: 0.3208 0.5708 0.7500
F: 0.6792 0.4292 0.2500
F: 0.6873 0.4164 0.8532
F: 0.6873 0.8341 0.2708
F: 0.9368 0.1659 0.3532
F: 0.9368 0.5836 0.7708

Largest 10 diffraction maxima, most intense first, 5 to 70 degrees two-theta:
3.172 Å, I 100
3.136 Å, I 85
3.744 Å, I 76
1.872 Å, I 69
3.219 Å, I 54
3.231 Å, I 48
2.015 Å, I 32
2.042 Å, I 26
3.063 Å, I 26
3.021 Å, I 24


(2)
Calculated powder diffractogram of CsPF6 for copper Kα, from the GGA-PBE geometry in the Materials Project.
Intensities are scaled so that the largest is 100.

Atomic structure:
Cell lengths 5.8824, 5.8824, 5.8824 Å; angles 60.02, 60.02, 60.02 degrees
Sites, in units of the cell vectors:
Cs: 0.0000 0.0000 0.0000
P: 0.5000 0.5000 0.5000
F: 0.1707 0.5660 0.5660
F: 0.4340 0.4340 0.8293
F: 0.4340 0.8293 0.4340
F: 0.5660 0.1707 0.5660
F: 0.5660 0.5660 0.1707
F: 0.8293 0.4340 0.4340

Largest 10 diffraction maxima, most intense first, 5 to 70 degrees two-theta:
4.160 Å, I 100
2.941 Å, I 61
2.509 Å, I 57
1.698 Å, I 27
2.402 Å, I 26
1.860 Å, I 26
1.387 Å, I 19
1.601 Å, I 17
1.909 Å, I 15
1.471 Å, I 11


(3)
Calculated powder diffractogram of Cs2RbPbF6 for copper Kα, from the GGA-PBE geometry in the Materials Project.
Intensities are scaled so that the largest is 100.

Atomic structure:
Cell lengths 7.0243, 7.0243, 7.0243 Å; angles 60.00, 60.00, 60.00 degrees
Sites, in units of the cell vectors:
Cs: 0.2500 0.2500 0.2500
Cs: 0.7500 0.7500 0.7500
Rb: 0.0000 0.0000 0.0000
Pb: 0.5000 0.5000 0.5000
F: 0.2715 0.2715 0.7285
F: 0.2715 0.7285 0.2715
F: 0.2715 0.7285 0.7285
F: 0.7285 0.2715 0.2715
F: 0.7285 0.2715 0.7285
F: 0.7285 0.7285 0.2715

Largest 10 diffraction maxima, most intense first, 5 to 70 degrees two-theta:
3.512 Å, I 100
2.028 Å, I 43
2.483 Å, I 33
1.756 Å, I 22
1.571 Å, I 21
5.735 Å, I 14
1.434 Å, I 7
2.995 Å, I 6
1.912 Å, I 4
1.679 Å, I 3


(4)
Calculated powder diffractogram of Cs2PdF6 for copper Kα, from the GGA-PBE geometry in the Materials Project.
Intensities are scaled so that the largest is 100.

Atomic structure:
Cell lengths 6.5228, 6.5228, 6.5228 Å; angles 60.00, 60.00, 60.00 degrees
Sites, in units of the cell vectors:
Cs: 0.2500 0.2500 0.2500
Cs: 0.7500 0.7500 0.7500
Pd: 0.0000 0.0000 0.0000
F: 0.2122 0.2122 0.7878
F: 0.2122 0.7878 0.2122
F: 0.2122 0.7878 0.7878
F: 0.7878 0.2122 0.2122
F: 0.7878 0.2122 0.7878
F: 0.7878 0.7878 0.2122

Largest 10 diffraction maxima, most intense first, 5 to 70 degrees two-theta:
3.261 Å, I 100
1.883 Å, I 38
5.326 Å, I 38
2.306 Å, I 37
2.663 Å, I 23
1.631 Å, I 22
1.459 Å, I 21
2.781 Å, I 12
4.612 Å, I 11
1.775 Å, I 8